# BaHS
Computed powder diffractogram, λ = 1.5418 Å (Cu Kα). Input: DFT lattice parameters and positions (PBE).
No peak broadening, texture or thermal motion is included.

Atomic structure:
```
data_BaHS
_chemical_formula_sum 'Ba2 H2 S2'
_cell_length_a 3.9959
_cell_length_b 4.4671
_cell_length_c 7.7626
_cell_angle_alpha 90.00
_cell_angle_beta 90.00
_cell_angle_gamma 90.00
_symmetry_space_group_name_H-M 'P m m 2'
_symmetry_Int_Tables_number 25
_symmetry_space_group_name_Hall 'P 2 -2'
loop_
_atom_site_label
_atom_site_type_symbol
_atom_site_fract_x
_atom_site_fract_y
_atom_site_fract_z
_atom_site_occupancy
Ba1 Ba 0.0000 0.0000 0.0000 1
Ba2 Ba 0.0000 0.5000 0.4838 1
H1 H 0.0966 0.0000 0.6626 1
S1 S 0.5000 0.0000 0.3255 1
S2 S 0.5000 0.5000 0.8268 1
```

The 10 most intense peaks (2θ = 10–90°), by angle:
22.2°, I = 18; 23.0°, I = 71; 32.2°, I = 100; 40.3°, I = 21; 40.4°, I = 11; 46.5°, I = 16; 51.5°, I = 16; 52.5°, I = 16; 62.3°, I = 17; 68.1°, I = 14

=====

# CaPrEr2Bi4
Computed powder diffractogram, λ = 1.5418 Å (Cu Kα). Input: DFT lattice parameters and positions (PBE).
No peak broadening, texture or thermal motion is included.

Atomic structure:
```
data_CaPrEr2Bi4
_chemical_formula_sum 'Ca2 Pr2 Er4 Bi8'
_cell_length_a 6.4202
_cell_length_b 6.4202
_cell_length_c 12.8223
_cell_angle_alpha 90.00
_cell_angle_beta 90.00
_cell_angle_gamma 90.00
_symmetry_space_group_name_H-M 'I 4/m m m'
_symmetry_Int_Tables_number 139
_symmetry_space_group_name_Hall '-I 4 2'
loop_
_atom_site_label
_atom_site_type_symbol
_atom_site_fract_x
_atom_site_fract_y
_atom_site_fract_z
_atom_site_occupancy
Ca1 Ca 0.0000 0.0000 0.0000 1
Pr1 Pr 0.0000 0.0000 0.5000 1
Er1 Er 0.0000 0.5000 0.2500 1
Bi1 Bi 0.0000 0.0000 0.2495 1
Bi2 Bi 0.0000 0.5000 0.0000 1
```

The 10 most intense peaks (2θ = 10–90°), by angle:
15.4°, I = 3; 24.0°, I = 10; 27.8°, I = 100; 39.7°, I = 78; 47.0°, I = 6; 49.2°, I = 29; 57.4°, I = 14; 65.0°, I = 38; 72.1°, I = 28; 85.6°, I = 9

=====

# ScAl3N4
Computed powder diffractogram, λ = 1.5418 Å (Cu Kα). Input: DFT lattice parameters and positions (PBE).
No peak broadening, texture or thermal motion is included.

Atomic structure:
```
data_ScAl3N4
_chemical_formula_sum 'Sc2 Al6 N8'
_cell_length_a 3.1966
_cell_length_b 6.4326
_cell_length_c 9.0548
_cell_angle_alpha 90.00
_cell_angle_beta 90.00
_cell_angle_gamma 90.00
_symmetry_space_group_name_H-M 'A m m 2'
_symmetry_Int_Tables_number 38
_symmetry_space_group_name_Hall 'A 2 -2'
loop_
_atom_site_label
_atom_site_type_symbol
_atom_site_fract_x
_atom_site_fract_y
_atom_site_fract_z
_atom_site_occupancy
Sc1 Sc 0.0000 0.0000 0.0000 1
Al1 Al 0.0000 0.0000 0.5016 1
Al2 Al 0.5000 0.2475 0.7496 1
N1 N 0.0000 0.2368 0.6314 1
N2 N 0.5000 0.0000 0.3744 1
N3 N 0.5000 0.0000 0.8615 1
```

The 10 most intense peaks (2θ = 10–90°), by angle:
16.9°, I = 8; 34.2°, I = 100; 34.3°, I = 100; 39.8°, I = 29; 57.3°, I = 16; 57.5°, I = 63; 57.7°, I = 16; 68.5°, I = 22; 68.8°, I = 44; 85.7°, I = 9

=====

# Rb2CdPd2
Computed powder diffractogram, λ = 1.5418 Å (Cu Kα). Input: DFT lattice parameters and positions (PBE).
No peak broadening, texture or thermal motion is included.

Atomic structure:
```
data_Rb2CdPd2
_chemical_formula_sum 'Rb4 Cd2 Pd4'
_cell_length_a 7.1638
_cell_length_b 7.1638
_cell_length_c 5.5485
_cell_angle_alpha 90.00
_cell_angle_beta 90.00
_cell_angle_gamma 90.00
_symmetry_space_group_name_H-M 'P 4/m b m'
_symmetry_Int_Tables_number 127
_symmetry_space_group_name_Hall '-P 4 2ab'
loop_
_atom_site_label
_atom_site_type_symbol
_atom_site_fract_x
_atom_site_fract_y
_atom_site_fract_z
_atom_site_occupancy
Rb1 Rb 0.1759 0.3241 0.0000 1
Cd1 Cd 0.0000 0.0000 0.5000 1
Pd1 Pd 0.1335 0.6335 0.5000 1
```

The 10 most intense peaks (2θ = 10–90°), by angle:
16.0°, I = 16; 29.7°, I = 21; 32.3°, I = 100; 39.8°, I = 24; 43.1°, I = 10; 48.7°, I = 7; 52.1°, I = 21; 55.4°, I = 6; 57.5°, I = 16; 73.2°, I = 6

=====

# Ac7Nd3Ho
Computed powder diffractogram, λ = 1.5418 Å (Cu Kα). Input: DFT lattice parameters and positions (PBE).
No peak broadening, texture or thermal motion is included.

Atomic structure:
```
data_Ac7Nd3Ho
_chemical_formula_sum 'Ac14 Nd6 Ho2'
_cell_length_a 12.2968
_cell_length_b 11.1875
_cell_length_c 6.9361
_cell_angle_alpha 90.00
_cell_angle_beta 96.34
_cell_angle_gamma 90.00
_symmetry_space_group_name_H-M 'C 1 2/m 1'
_symmetry_Int_Tables_number 12
_symmetry_space_group_name_Hall '-C 2y'
loop_
_atom_site_label
_atom_site_type_symbol
_atom_site_fract_x
_atom_site_fract_y
_atom_site_fract_z
_atom_site_occupancy
Ac1 Ac 0.0000 0.0000 0.0000 1
Ac2 Ac 0.2382 0.5000 0.2278 1
Ac3 Ac 0.2498 0.1705 0.2604 1
Nd1 Nd 0.0000 0.3366 0.0000 1
Nd2 Nd 0.0000 0.5000 0.5000 1
Ho1 Ho 0.0000 0.0000 0.5000 1
```

The 10 most intense peaks (2θ = 10–90°), by angle:
27.8°, I = 23; 28.3°, I = 72; 28.5°, I = 100; 29.2°, I = 65; 31.2°, I = 54; 34.2°, I = 63; 46.3°, I = 27; 47.5°, I = 26; 57.4°, I = 20; 57.9°, I = 19

=====

# PmDy4S6
Computed powder diffractogram, λ = 1.5418 Å (Cu Kα). Input: DFT lattice parameters and positions (PBE).
No peak broadening, texture or thermal motion is included.

Atomic structure:
```
data_PmDy4S6
_chemical_formula_sum 'Pm4 Dy16 S24'
_cell_length_a 3.8628
_cell_length_b 12.8752
_cell_length_c 19.8873
_cell_angle_alpha 90.00
_cell_angle_beta 90.00
_cell_angle_gamma 90.00
_symmetry_space_group_name_H-M 'C m c m'
_symmetry_Int_Tables_number 63
_symmetry_space_group_name_Hall '-C 2c 2'
loop_
_atom_site_label
_atom_site_type_symbol
_atom_site_fract_x
_atom_site_fract_y
_atom_site_fract_z
_atom_site_occupancy
Pm1 Pm 0.0000 0.1532 0.2500 1
Dy1 Dy 0.0000 0.0918 0.6270 1
Dy2 Dy 0.0000 0.3613 0.5396 1
S1 S 0.0000 0.0000 0.0000 1
S2 S 0.0000 0.1873 0.7500 1
S3 S 0.0000 0.2688 0.0889 1
S4 S 0.0000 0.4515 0.6657 1
```

The 10 most intense peaks (2θ = 10–90°), by angle:
25.7°, I = 30; 26.3°, I = 100; 27.6°, I = 48; 27.7°, I = 33; 31.5°, I = 32; 32.5°, I = 77; 34.0°, I = 56; 43.9°, I = 38; 46.1°, I = 54; 47.0°, I = 28

=====

# TlBi5Au4
Computed powder diffractogram, λ = 1.5418 Å (Cu Kα). Input: DFT lattice parameters and positions (PBE).
No peak broadening, texture or thermal motion is included.

Atomic structure:
```
data_TlBi5Au4
_chemical_formula_sum 'Tl2 Bi10 Au8'
_cell_length_a 18.3170
_cell_length_b 4.6077
_cell_length_c 7.5271
_cell_angle_alpha 90.00
_cell_angle_beta 113.04
_cell_angle_gamma 90.00
_symmetry_space_group_name_H-M 'C 1 2/m 1'
_symmetry_Int_Tables_number 12
_symmetry_space_group_name_Hall '-C 2y'
loop_
_atom_site_label
_atom_site_type_symbol
_atom_site_fract_x
_atom_site_fract_y
_atom_site_fract_z
_atom_site_occupancy
Tl1 Tl 0.0000 0.0000 0.0000 1
Bi1 Bi 0.0000 0.0000 0.5000 1
Bi2 Bi 0.1711 0.5000 0.4398 1
Bi3 Bi 0.1705 0.5000 0.9091 1
Au1 Au 0.0009 0.5000 0.2372 1
Au2 Au 0.1892 0.0000 0.6923 1
```

The 10 most intense peaks (2θ = 10–90°), by angle:
19.9°, I = 26; 31.1°, I = 88; 31.2°, I = 100; 31.9°, I = 88; 39.1°, I = 60; 40.6°, I = 76; 41.3°, I = 67; 48.4°, I = 30; 51.3°, I = 48; 63.9°, I = 27

=====

# CaSmZnN2
Computed powder diffractogram, λ = 1.5418 Å (Cu Kα). Input: DFT lattice parameters and positions (PBE).
No peak broadening, texture or thermal motion is included.

Atomic structure:
```
data_CaSmZnN2
_chemical_formula_sum 'Ca2 Sm2 Zn2 N4'
_cell_length_a 5.2311
_cell_length_b 5.4741
_cell_length_c 6.6124
_cell_angle_alpha 90.00
_cell_angle_beta 90.00
_cell_angle_gamma 90.00
_symmetry_space_group_name_H-M 'P c c m'
_symmetry_Int_Tables_number 49
_symmetry_space_group_name_Hall '-P 2 2c'
loop_
_atom_site_label
_atom_site_type_symbol
_atom_site_fract_x
_atom_site_fract_y
_atom_site_fract_z
_atom_site_occupancy
Ca1 Ca 0.0000 0.0000 0.2500 1
Sm1 Sm 0.5000 0.5000 0.2500 1
Zn1 Zn 0.5000 0.0000 0.0000 1
N1 N 0.2677 0.2591 0.0000 1
```

The 10 most intense peaks (2θ = 10–90°), by angle:
16.9°, I = 76; 23.5°, I = 32; 31.6°, I = 32; 32.7°, I = 26; 34.3°, I = 23; 36.1°, I = 100; 37.1°, I = 21; 47.3°, I = 22; 48.1°, I = 26; 60.6°, I = 21

=====

# Ba2TlSi2
Computed powder diffractogram, λ = 1.5418 Å (Cu Kα). Input: DFT lattice parameters and positions (PBE).
No peak broadening, texture or thermal motion is included.

Atomic structure:
```
data_Ba2TlSi2
_chemical_formula_sum 'Ba4 Tl2 Si4'
_cell_length_a 4.0403
_cell_length_b 16.6883
_cell_length_c 4.7885
_cell_angle_alpha 90.00
_cell_angle_beta 90.00
_cell_angle_gamma 90.00
_symmetry_space_group_name_H-M 'C m m m'
_symmetry_Int_Tables_number 65
_symmetry_space_group_name_Hall '-C 2 2'
loop_
_atom_site_label
_atom_site_type_symbol
_atom_site_fract_x
_atom_site_fract_y
_atom_site_fract_z
_atom_site_occupancy
Ba1 Ba 0.0000 0.1321 0.0000 1
Tl1 Tl 0.0000 0.5000 0.5000 1
Si1 Si 0.0000 0.2895 0.5000 1
```

The 10 most intense peaks (2θ = 10–90°), by angle:
10.6°, I = 23; 27.3°, I = 54; 28.4°, I = 86; 29.4°, I = 100; 34.9°, I = 32; 37.6°, I = 23; 47.0°, I = 25; 48.2°, I = 24; 52.2°, I = 20; 53.9°, I = 29

=====

# Na2UInO5
Computed powder diffractogram, λ = 1.5418 Å (Cu Kα). Input: DFT lattice parameters and positions (PBE).
No peak broadening, texture or thermal motion is included.

Atomic structure:
```
data_Na2UInO5
_chemical_formula_sum 'Na2 U1 In1 O5'
_cell_length_a 4.1569
_cell_length_b 4.1569
_cell_length_c 8.4465
_cell_angle_alpha 90.00
_cell_angle_beta 90.00
_cell_angle_gamma 90.00
_symmetry_space_group_name_H-M 'P 4/m m m'
_symmetry_Int_Tables_number 123
_symmetry_space_group_name_Hall '-P 4 2'
loop_
_atom_site_label
_atom_site_type_symbol
_atom_site_fract_x
_atom_site_fract_y
_atom_site_fract_z
_atom_site_occupancy
Na1 Na 0.0000 0.0000 0.2393 1
U1 U 0.5000 0.5000 0.0000 1
In1 In 0.5000 0.5000 0.5000 1
O1 O 0.0000 0.0000 0.5000 1
O2 O 0.0000 0.5000 0.0000 1
O3 O 0.5000 0.5000 0.2477 1
```

The 10 most intense peaks (2θ = 10–90°), by angle:
10.5°, I = 40; 21.0°, I = 51; 21.4°, I = 97; 23.9°, I = 23; 30.2°, I = 100; 30.4°, I = 71; 37.3°, I = 30; 43.5°, I = 35; 53.4°, I = 29; 53.9°, I = 42

=====

# Cs2NdAgI6
Computed powder diffractogram, λ = 1.5418 Å (Cu Kα). Input: DFT lattice parameters and positions (PBE).
No peak broadening, texture or thermal motion is included.

Atomic structure:
```
data_Cs2NdAgI6
_chemical_formula_sum 'Cs2 Nd1 Ag1 I6'
_cell_length_a 8.6224
_cell_length_b 8.6224
_cell_length_c 7.2410
_cell_angle_alpha 90.00
_cell_angle_beta 90.00
_cell_angle_gamma 120.00
_symmetry_space_group_name_H-M 'P -3 m 1'
_symmetry_Int_Tables_number 164
_symmetry_space_group_name_Hall '-P 3 2"'
loop_
_atom_site_label
_atom_site_type_symbol
_atom_site_fract_x
_atom_site_fract_y
_atom_site_fract_z
_atom_site_occupancy
Cs1 Cs 0.3333 0.6667 0.2456 1
Nd1 Nd 0.0000 0.0000 0.0000 1
Ag1 Ag 0.0000 0.0000 0.5000 1
I1 I 0.1694 0.3389 0.7475 1
```

The 10 most intense peaks (2θ = 10–90°), by angle:
11.9°, I = 24; 24.6°, I = 15; 26.9°, I = 100; 34.5°, I = 39; 41.9°, I = 31; 44.7°, I = 25; 49.2°, I = 14; 50.5°, I = 23; 55.4°, I = 10; 67.6°, I = 29

=====

# PmHo5Er5
Computed powder diffractogram, λ = 1.5418 Å (Cu Kα). Input: DFT lattice parameters and positions (PBE).
No peak broadening, texture or thermal motion is included.

Atomic structure:
```
data_PmHo5Er5
_chemical_formula_sum 'Pm1 Ho5 Er5'
_cell_length_a 6.7713
_cell_length_b 6.9328
_cell_length_c 8.2415
_cell_angle_alpha 76.48
_cell_angle_beta 77.01
_cell_angle_gamma 72.93
_symmetry_space_group_name_H-M 'P -1'
_symmetry_Int_Tables_number 2
_symmetry_space_group_name_Hall '-P 1'
loop_
_atom_site_label
_atom_site_type_symbol
_atom_site_fract_x
_atom_site_fract_y
_atom_site_fract_z
_atom_site_occupancy
Pm1 Pm 0.0000 0.0000 0.0000 1
Ho1 Ho 0.0000 0.5000 0.0000 1
Ho2 Ho 0.1582 0.6285 0.3585 1
Ho3 Ho 0.3258 0.7634 0.6552 1
Er1 Er 0.2088 0.1374 0.3184 1
Er2 Er 0.3530 0.2487 0.7165 1
Er3 Er 0.5000 0.5000 0.0000 1
```

The 10 most intense peaks (2θ = 10–90°), by angle:
31.5°, I = 58; 32.0°, I = 100; 32.3°, I = 97; 32.5°, I = 70; 33.0°, I = 75; 33.9°, I = 29; 34.0°, I = 66; 44.5°, I = 22; 49.1°, I = 22; 57.0°, I = 26